Record 1
Cs4Na3Tl2: simulated powder diffractogram (λ = 1.5418 Å (Cu Kα)), based on a structure optimized by DFT (PBE).

Principal peaks in the range 10° ≤ 2θ ≤ 90°, low angle first:
Position (°2θ)	d [Å]	Rel. int.
16.8	5.266	100
21.9	4.058	65
23.0	3.860	50
26.2	3.404	95
27.4	3.250	77
28.1	3.174	65
29.8	2.995	57
39.8	2.267	65

Cell and atoms:
a b c (Å): 20.3885 5.4698 9.9869
angles (deg): 90.00 107.12 90.00
Space group C2/m (No. 12)
Inequivalent atoms, fractional coordinates:
Cs: 0.0850 0.0000 0.3741
Cs: 0.2321 0.5000 0.1726
Na: 0.0000 0.5000 0.0000
Na: 0.0908 0.5000 0.7581
Tl: 0.0821 0.0000 0.9571

Record 2
Cs2NaTl7: simulated powder diffractogram (λ = 1.5418 Å (Cu Kα)), based on a structure optimized by DFT (PBE).

Principal peaks in the range 10° ≤ 2θ ≤ 90°, low angle first:
Position (°2θ)	d [Å]	Rel. int.
17.5	5.054	38
26.5	3.359	78
26.8	3.321	93
32.5	2.754	100
36.5	2.462	70
42.4	2.129	45
46.6	1.947	38
68.1	1.377	36

Cell and atoms:
a b c (Å): 5.5072 5.5072 12.7146
angles (deg): 90.00 90.00 90.00
Space group P-4m2 (No. 115)
Inequivalent atoms, fractional coordinates:
Cs: 0.0000 0.5000 0.2473
Na: 0.0000 0.0000 0.5000
Tl: 0.0000 0.0000 0.0000
Tl: 0.0000 0.5000 0.6247
Tl: 0.0000 0.5000 0.8704
Tl: 0.5000 0.5000 0.0000
Tl: 0.5000 0.5000 0.5000

Record 3
Cs2Na6Tl9: simulated powder diffractogram (λ = 1.5418 Å (Cu Kα)), based on a structure optimized by DFT (PBE).

Principal peaks in the range 10° ≤ 2θ ≤ 90°, low angle first:
Position (°2θ)	d [Å]	Rel. int.
15.9	5.564	80
22.3	3.993	73
31.2	2.867	100
31.4	2.845	51
32.2	2.782	38
35.2	2.548	96
45.4	1.996	72
65.6	1.422	30

Cell and atoms:
a b c (Å): 6.6202 6.6202 16.6914
angles (deg): 90.00 90.00 120.00
Space group P6/mmm (No. 191)
Inequivalent atoms, fractional coordinates:
Cs: 0.0000 0.0000 0.1652
Na: 0.3333 0.6667 0.1657
Na: 0.3333 0.6667 0.5000
Tl: 0.0000 0.5000 0.0000
Tl: 0.0000 0.5000 0.3321

Record 4
CsNa6Tl6: simulated powder diffractogram (λ = 1.5418 Å (Cu Kα)), based on a structure optimized by DFT (PBE).

Principal peaks in the range 10° ≤ 2θ ≤ 90°, low angle first:
Position (°2θ)	d [Å]	Rel. int.
15.7	5.655	92
22.0	4.034	55
31.1	2.878	100
31.2	2.865	40
31.6	2.828	34
35.0	2.565	34
35.0	2.564	72
44.9	2.017	64

Cell and atoms:
a b c (Å): 6.6445 11.3101 11.5115
angles (deg): 90.00 90.00 90.00
Space group Immm (No. 71)
Inequivalent atoms, fractional coordinates:
Cs: 0.0000 0.0000 0.0000
Na: 0.0000 0.0000 0.3502
Na: 0.0000 0.3383 0.0000
Na: 0.0000 0.5000 0.3011
Tl: 0.0000 0.2609 0.5000
Tl: 0.2500 0.2500 0.2500

Record 5
CsNa4Tl6: simulated powder diffractogram (λ = 1.5418 Å (Cu Kα)), based on a structure optimized by DFT (PBE).

Principal peaks in the range 10° ≤ 2θ ≤ 90°, low angle first:
Position (°2θ)	d [Å]	Rel. int.
20.0	4.443	22
20.1	4.416	51
23.1	3.848	22
28.5	3.132	46
30.7	2.909	26
33.2	2.696	28
35.0	2.561	100
54.7	1.679	26

Cell and atoms:
a b c (Å): 8.8859 8.8859 5.3923
angles (deg): 90.00 90.00 120.00
Space group P-6 (No. 174)
Inequivalent atoms, fractional coordinates:
Cs: 0.0000 0.0000 0.0000
Na: 0.1305 0.7313 0.5000
Na: 0.6667 0.3333 0.0000
Tl: 0.0899 0.5085 0.0000
Tl: 0.4340 0.1365 0.5000

Record 6
CsNa9Tl2: simulated powder diffractogram (λ = 1.5418 Å (Cu Kα)), based on a structure optimized by DFT (PBE).

Principal peaks in the range 10° ≤ 2θ ≤ 90°, low angle first:
Position (°2θ)	d [Å]	Rel. int.
11.5	7.709	31
17.0	5.212	100
23.1	3.855	42
24.7	3.609	56
25.2	3.536	36
27.8	3.207	24
29.8	2.995	25
34.4	2.606	59

Cell and atoms:
a b c (Å): 14.1456 14.1456 9.1948
angles (deg): 90.00 90.00 90.00
Space group I4_1/amd (No. 141, origin choice 2)
Inequivalent atoms, fractional coordinates:
Cs: 0.0000 0.2500 0.3750
Na: 0.0000 0.2500 0.8750
Na: 0.1234 0.0509 0.6968
Tl: 0.0000 0.0000 0.0000

Record 7
Cs8Na6Tl: simulated powder diffractogram (λ = 1.5418 Å (Cu Kα)), based on a structure optimized by DFT (PBE).

Principal peaks in the range 10° ≤ 2θ ≤ 90°, low angle first:
Position (°2θ)	d [Å]	Rel. int.
13.0	6.803	27
18.6	4.782	51
20.4	4.349	42
21.8	4.074	68
23.3	3.824	74
26.2	3.396	100
26.7	3.334	27
40.2	2.246	40

Cell and atoms:
a b c (Å): 13.6066 13.6066 20.1714
angles (deg): 90.00 90.00 120.00
Space group R-3m (No. 166, hexagonal axes)
Inequivalent atoms, fractional coordinates:
Cs: 0.0000 0.0000 0.1203
Cs: 0.0812 0.5406 0.3507
Na: 0.0457 0.5229 0.1362
Tl: 0.0000 0.0000 0.5000

Record 8
Cs2Na4Tl: simulated powder diffractogram (λ = 1.5418 Å (Cu Kα)), based on a structure optimized by DFT (PBE).

Principal peaks in the range 10° ≤ 2θ ≤ 90°, low angle first:
Position (°2θ)	d [Å]	Rel. int.
19.1	4.656	100
20.2	4.400	61
25.4	3.509	18
25.5	3.487	18
28.7	3.111	38
32.6	2.743	23
34.7	2.587	45
38.7	2.328	23

Cell and atoms:
a b c (Å): 6.2229 6.2229 21.0539
angles (deg): 90.00 90.00 90.00
Space group I4/mmm (No. 139)
Inequivalent atoms, fractional coordinates:
Cs: 0.0000 0.0000 0.1446
Na: 0.0000 0.0000 0.3531
Na: 0.0000 0.5000 0.0000
Tl: 0.0000 0.0000 0.5000

Record 9
CsNa2Tl4: simulated powder diffractogram (λ = 1.5418 Å (Cu Kα)), based on a structure optimized by DFT (PBE).

Principal peaks in the range 10° ≤ 2θ ≤ 90°, low angle first:
Position (°2θ)	d [Å]	Rel. int.
14.6	6.048	28
27.2	3.281	39
27.3	3.269	62
29.5	3.024	43
33.9	2.644	37
34.4	2.603	100
45.0	2.016	26
53.0	1.728	41

Cell and atoms:
a b c (Å): 10.6838 8.5169 6.5405
angles (deg): 90.00 126.50 90.00
Space group C2/m (No. 12)
Inequivalent atoms, fractional coordinates:
Cs: 0.0000 0.0000 0.0000
Na: 0.0061 0.5000 0.7566
Tl: 0.1858 0.1872 0.6801

Record 10
Cs2Na4Tl: simulated powder diffractogram (λ = 1.5418 Å (Cu Kα)), based on a structure optimized by DFT (PBE).

Principal peaks in the range 10° ≤ 2θ ≤ 90°, low angle first:
Position (°2θ)	d [Å]	Rel. int.
15.4	5.737	100
19.7	4.512	73
21.4	4.162	93
23.2	3.839	57
25.3	3.527	81
27.6	3.230	56
36.4	2.469	69
40.6	2.224	54

Cell and atoms:
a b c (Å): 8.0650 5.4599 9.3013
angles (deg): 90.00 96.57 90.00
Space group P2/m (No. 10)
Inequivalent atoms, fractional coordinates:
Cs: 0.1884 0.0000 0.2760
Na: 0.3291 0.0000 0.8676
Na: 0.3672 0.5000 0.6471
Tl: 0.5000 0.5000 0.0000

Record 11
Cs2Na17Tl3: simulated powder diffractogram (λ = 1.5418 Å (Cu Kα)), based on a structure optimized by DFT (PBE).

Principal peaks in the range 10° ≤ 2θ ≤ 90°, low angle first:
Position (°2θ)	d [Å]	Rel. int.
14.2	6.234	77
16.4	5.411	57
18.3	4.837	42
21.3	4.165	34
27.3	3.263	100
28.6	3.118	49
30.9	2.891	40
40.0	2.254	72

Cell and atoms:
a b c (Å): 13.0534 13.0534 18.7020
angles (deg): 90.00 90.00 120.00
Space group R-3m (No. 166, hexagonal axes)
Inequivalent atoms, fractional coordinates:
Cs: 0.0000 0.0000 0.1623
Na: 0.0000 0.0000 0.4006
Na: 0.0000 0.2610 0.5000
Na: 0.0000 0.5000 0.0000
Na: 0.0059 0.5029 0.6707
Tl: 0.0000 0.5000 0.5000

Record 12
Cs6Na4Tl13: simulated powder diffractogram (λ = 1.5418 Å (Cu Kα)), based on a structure optimized by DFT (PBE).

Principal peaks in the range 10° ≤ 2θ ≤ 90°, low angle first:
Position (°2θ)	d [Å]	Rel. int.
10.4	8.541	79
27.6	3.228	100
29.6	3.020	26
31.4	2.847	33
33.2	2.701	74
34.8	2.575	47
46.3	1.960	30
54.8	1.675	23

Cell and atoms:
a b c (Å): 12.0794 12.0794 12.0794
angles (deg): 90.00 90.00 90.00
Space group Im-3 (No. 204)
Inequivalent atoms, fractional coordinates:
Cs: 0.0000 0.1717 0.5000
Na: 0.2500 0.2500 0.2500
Tl: 0.0000 0.0000 0.0000
Tl: 0.0000 0.2346 0.1399